Record 1
# SrTl2
Calculated X-ray diffraction stick pattern, CuKα. Input: a GGA-PBE-relaxed structure.
Peak positions follow from Bragg's law for the DFT cell and can differ from measured ones.

Peak list (6 most intense, 2θ = 10–90°, most intense first)
30.8 deg, rel. 100.0
31.7 deg, rel. 25.1
55.9 deg, rel. 18.9
34.0 deg, rel. 15.0
40.8 deg, rel. 12.7
47.2 deg, rel. 12.3

```
SrTl2
1.0
2.2109 -7.9151 0.0000
2.2109 7.9151 0.0000
0.0000 0.0000 5.6451
Sr Tl
2 4
direct
0.0969 0.9031 0.7500
0.9031 0.0969 0.2500
0.2304 0.7696 0.2500
0.4257 0.5743 0.7500
0.5743 0.4257 0.2500
0.7696 0.2304 0.7500
```

Record 2
# TaB2O2
Calculated X-ray diffraction stick pattern, CuKα. Input: a GGA-PBE-relaxed structure.
Peak positions follow from Bragg's law for the DFT cell and can differ from measured ones.

Peak list (6 most intense, 2θ = 10–90°, most intense first)
14.6 deg, rel. 100.0
29.4 deg, rel. 48.4
30.9 deg, rel. 34.2
38.7 deg, rel. 20.8
21.6 deg, rel. 20.4
44.0 deg, rel. 19.8

```
TaB2O2
1.0
-3.2939 3.2939 7.8982
3.2939 -3.2939 7.8982
3.2939 3.2939 -7.8982
Ta B O
4 8 8
direct
0.0000 0.0000 0.0000
0.0000 0.0000 0.5000
0.0000 0.5000 0.0000
0.5000 0.0000 0.5000
0.1778 0.2006 0.9772
0.2006 0.1778 0.4772
0.2006 0.7234 0.0228
0.2766 0.7994 0.4772
0.7234 0.2006 0.5228
0.7994 0.2766 0.9772
0.7994 0.8222 0.5228
0.8222 0.7994 0.0228
0.1243 0.1740 0.5497
0.1243 0.5745 0.9503
0.1740 0.1243 0.0497
0.4255 0.8757 0.5497
0.5745 0.1243 0.4503
0.8260 0.8757 0.9503
0.8757 0.4255 0.0497
0.8757 0.8260 0.4503
```

Record 3
# Cs2NaVI6
Calculated X-ray diffraction stick pattern, CuKα. Input: a GGA-PBE-relaxed structure.
Peak positions follow from Bragg's law for the DFT cell and can differ from measured ones.

Peak list (6 most intense, 2θ = 10–90°, most intense first)
27.4 deg, rel. 100.0
34.3 deg, rel. 33.9
23.4 deg, rel. 22.3
43.5 deg, rel. 22.2
43.6 deg, rel. 20.4
24.7 deg, rel. 16.4

```
Cs2NaVI6
1.0
8.3251 0.0000 0.0000
-4.1625 7.2097 0.0000
0.0000 0.0000 7.6101
Cs Na V I
2 1 1 6
direct
0.3333 0.6667 0.1994
0.6667 0.3333 0.8006
0.0000 0.0000 0.5000
0.0000 0.0000 0.0000
0.1592 0.3183 0.7871
0.1592 0.8408 0.7871
0.3183 0.1592 0.2129
0.6817 0.8408 0.7871
0.8408 0.1592 0.2129
0.8408 0.6817 0.2129
```

Record 4
# CsPu2Te2
Calculated X-ray diffraction stick pattern, CuKα. Input: a GGA-PBE-relaxed structure.
Peak positions follow from Bragg's law for the DFT cell and can differ from measured ones.

Peak list (6 most intense, 2θ = 10–90°, most intense first)
10.0 deg, rel. 100.0
25.9 deg, rel. 62.1
38.1 deg, rel. 49.8
24.2 deg, rel. 49.7
31.0 deg, rel. 39.6
31.4 deg, rel. 39.3

```
CsPu2Te2
1.0
0.0000 3.7345 8.8195
3.0527 0.0000 8.8195
3.0527 3.7345 0.0000
Cs Pu Te
1 2 2
direct
0.0000 0.0000 0.0000
0.2500 0.2500 0.2500
0.7500 0.7500 0.7500
0.3674 0.3674 0.6326
0.6326 0.6326 0.3674
```